Record 1
Structure and computed PXRD pattern of Rb3CoCl6 (a structure optimized by DFT (GGA-PBE); CuKα).
Neutral-atom scattering factors, no anomalous dispersion.

Atomic structure:
```
Rb3CoCl6
1.0
6.6074 -8.1646 0.0000
6.6074 8.1646 0.0000
0.0000 0.0000 7.2427
Rb Co Cl
6 2 12
Cartesian
6.6074 6.5835 3.6213
4.0853 1.7420 3.9544
4.0853 -1.7420 0.3331
9.1296 1.7420 3.9544
9.1296 -1.7420 0.3331
6.6074 -6.5835 0.0000
6.6074 3.1353 0.7622
6.6074 -3.1353 4.3835
4.8266 4.1292 1.6170
2.1862 0.1908 1.9691
2.1862 -0.1908 5.5905
6.6074 3.2637 5.7973
8.3883 4.1292 1.6170
6.6074 1.0330 1.4622
6.6074 -1.0330 5.0835
4.8266 -4.1292 5.2384
6.6074 -3.2637 2.1759
11.0287 0.1908 1.9691
11.0287 -0.1908 5.5905
8.3883 -4.1292 5.2384
```

Main lines, sorted by position (2θ from 10° to 90°):
d [Å]  2theta  I (rel.)
4.190  21.21  100
4.133  21.50  42
3.096  28.84  17
2.757  32.47  40
2.709  33.07  29
2.623  34.18  34

Record 2
Structure and computed PXRD pattern of InPb5 (a structure optimized by DFT (GGA-PBE); CuKα).
Neutral-atom scattering factors, no anomalous dispersion.

Atomic structure:
```
InPb5
1.0
4.8357 0.0000 0.0000
0.0000 15.3916 0.0000
0.0000 0.0000 4.9867
In Pb
2 10
Cartesian
0.0000 0.0000 0.0000
2.4178 7.6958 0.0000
0.0000 2.5146 2.4934
0.0000 5.1474 0.0000
0.0000 7.6958 2.4934
0.0000 10.2443 0.0000
0.0000 12.8771 2.4934
2.4178 0.0000 2.4934
2.4178 2.5484 0.0000
2.4178 5.1812 2.4934
2.4178 10.2104 2.4934
2.4178 12.8432 0.0000
```

Main lines, sorted by position (2θ from 10° to 90°):
d [Å]  2theta  I (rel.)
2.875  31.11  100
2.565  34.98  18
2.493  36.02  17
2.418  37.19  16
1.534  60.33  15
1.503  61.72  15